No. 1
Starting from a structure optimized by DFT (GGA-PBE), the PXRD pattern of Cd3Ga2N4 was calculated for Cu Kα (λ = 1.5418 Å).
No peak broadening, texture or thermal motion is included.

The 10 most intense peaks (10° ≤ 2θ ≤ 80°), low angle first:
2θ = 31.9°, d = 2.809 Å, intensity 100
2θ = 32.2°, d = 2.781 Å, intensity 61
2θ = 33.7°, d = 2.658 Å, intensity 42
2θ = 37.4°, d = 2.402 Å, intensity 31
2θ = 42.0°, d = 2.152 Å, intensity 19
2θ = 43.2°, d = 2.093 Å, intensity 34
2θ = 48.5°, d = 1.877 Å, intensity 17
2θ = 57.5°, d = 1.603 Å, intensity 15
2θ = 62.9°, d = 1.477 Å, intensity 17
2θ = 64.1°, d = 1.453 Å, intensity 17

Crystal structure
Cell: 6.799 6.799 5.629 Å, 94.26 94.26 89.93°
Sites, in units of the cell vectors:
Cd 0.124 0.876 0.750
Cd 0.236 0.541 0.426
Cd 0.459 0.764 0.074
Cd 0.541 0.236 0.926
Cd 0.764 0.459 0.574
Cd 0.876 0.124 0.250
Ga 0.105 0.334 0.889
Ga 0.334 0.105 0.389
Ga 0.666 0.895 0.611
Ga 0.895 0.666 0.111
N 0.122 0.259 0.540
N 0.172 0.606 0.012
N 0.259 0.122 0.040
N 0.394 0.828 0.488
N 0.606 0.172 0.512
N 0.741 0.878 0.960
N 0.828 0.394 0.988
N 0.878 0.741 0.460


No. 2
Starting from a structure optimized by DFT (GGA-PBE), the PXRD pattern of ThSnPbAu was calculated for Cu Kα (λ = 1.5418 Å).
No peak broadening, texture or thermal motion is included.

The 10 most intense peaks (10° ≤ 2θ ≤ 80°), low angle first:
2θ = 20.4°, d = 4.359 Å, intensity 2
2θ = 23.6°, d = 3.775 Å, intensity 2
2θ = 33.6°, d = 2.669 Å, intensity 100
2θ = 39.6°, d = 2.276 Å, intensity 1
2θ = 41.4°, d = 2.180 Å, intensity 1
2θ = 48.2°, d = 1.888 Å, intensity 19
2θ = 52.9°, d = 1.732 Å, intensity 1
2θ = 54.3°, d = 1.688 Å, intensity 1
2θ = 60.0°, d = 1.541 Å, intensity 39
2θ = 70.6°, d = 1.335 Å, intensity 12

Crystal structure
Cell: 5.339 5.339 5.339 Å, 60.00 60.00 60.00°
Sites, in units of the cell vectors:
Th 0.000 0.000 0.000
Sn 0.750 0.750 0.750
Pb 0.500 0.500 0.500
Au 0.250 0.250 0.250


No. 3
Starting from a structure optimized by DFT (GGA-PBE), the PXRD pattern of Sr2AcGeO6 was calculated for Cu Kα (λ = 1.5418 Å).
No peak broadening, texture or thermal motion is included.

The 10 most intense peaks (10° ≤ 2θ ≤ 80°), low angle first:
2θ = 15.6°, d = 5.694 Å, intensity 16
2θ = 16.7°, d = 5.295 Å, intensity 13
2θ = 22.9°, d = 3.878 Å, intensity 13
2θ = 27.8°, d = 3.205 Å, intensity 100
2θ = 31.4°, d = 2.847 Å, intensity 36
2θ = 33.9°, d = 2.647 Å, intensity 13
2θ = 45.0°, d = 2.013 Å, intensity 21
2θ = 46.9°, d = 1.939 Å, intensity 26
2θ = 53.8°, d = 1.705 Å, intensity 32
2θ = 57.5°, d = 1.603 Å, intensity 12

Crystal structure
Cell: 5.694 5.694 5.295 Å, 90.00 90.00 90.00°
Sites, in units of the cell vectors:
Sr 0.000 0.500 0.000
Sr 0.500 0.000 0.000
Ac 0.000 0.000 0.547
Ge 0.500 0.500 0.586
O 0.000 0.000 0.096
O 0.279 0.279 0.702
O 0.279 0.721 0.702
O 0.500 0.500 0.249
O 0.721 0.279 0.702
O 0.721 0.721 0.702